Record 1
For BaPmBi2O8, DFT lattice parameters and positions (GGA-PBE) gives the calculated X-ray diffraction stick pattern in this record (CuKα).

Principal peaks in the range 5 to 70 degrees two-theta, low angle first:
2θ (°), d_spacing, intensity
26.77, 3.331, 100
30.31, 2.948, 13
31.34, 2.854, 23
44.17, 2.051, 32
44.92, 2.018, 16
51.73, 1.767, 17
53.06, 1.726, 31
55.15, 1.665, 12

Structural model:
Cell: 7.1458 7.1458 7.1458 Å, 132.92 132.92 68.78°
Fractional positions:
1 Ba 0.0000 0.0000 0.0000
2 Pm 0.2500 0.7500 0.5000
3 Bi 0.5000 0.5000 0.0000
4 Bi 0.7500 0.2500 0.5000
5 O 0.0503 0.1073 0.4827
6 O 0.2317 0.6483 0.0782
7 O 0.3517 0.4300 0.5834
8 O 0.4323 0.9497 0.0570
9 O 0.5700 0.1534 0.9218
10 O 0.6247 0.5677 0.5173
11 O 0.8466 0.7683 0.4166
12 O 0.8927 0.3753 0.9430

***

Record 2
For Er4Si5Ge2, DFT lattice parameters and positions (GGA-PBE) gives the calculated X-ray diffraction stick pattern in this record (CuKα).

Principal peaks in the range 5 to 70 degrees two-theta, low angle first:
2θ (°), d_spacing, intensity
21.42, 4.149, 32
25.96, 3.432, 45
26.58, 3.354, 42
27.06, 3.296, 34
33.90, 2.644, 95
34.39, 2.608, 93
34.76, 2.580, 100
43.63, 2.074, 36

Structural model:
Cell: 6.7146 4.1489 7.7778 Å, 90.00 92.68 90.00°
Fractional positions:
1 Er 0.2375 0.0000 0.3752
2 Er 0.2475 0.0000 0.8858
3 Er 0.7525 0.0000 0.1142
4 Er 0.7625 0.0000 0.6248
5 Si 0.1353 0.5000 0.6183
6 Si 0.4618 0.5000 0.1583
7 Si 0.5000 0.5000 0.5000
8 Si 0.5382 0.5000 0.8417
9 Si 0.8647 0.5000 0.3817
10 Ge 0.0964 0.5000 0.1381
11 Ge 0.9036 0.5000 0.8619

***

Record 3
For CeEr5Pb6, DFT lattice parameters and positions (GGA-PBE) gives the calculated X-ray diffraction stick pattern in this record (CuKα).

Principal peaks in the range 5 to 70 degrees two-theta, low angle first:
2θ (°), d_spacing, intensity
29.99, 2.980, 53
30.47, 2.933, 100
35.03, 2.562, 35
35.85, 2.505, 66
46.76, 1.943, 31
49.80, 1.831, 25
60.02, 1.541, 14
60.56, 1.529, 15

Structural model:
Cell: 8.2759 8.2759 7.7025 Å, 95.12 95.12 136.45°
Fractional positions:
1 Ce 0.0000 0.0000 0.0000
2 Er 0.0000 0.0000 0.5000
3 Er 0.3285 0.6715 0.0000
4 Er 0.3410 0.6590 0.5000
5 Er 0.6590 0.3410 0.5000
6 Er 0.6715 0.3285 0.0000
7 Pb 0.1683 0.8282 0.2597
8 Pb 0.1718 0.8317 0.7403
9 Pb 0.4854 0.4854 0.7591
10 Pb 0.5146 0.5146 0.2409
11 Pb 0.8282 0.1683 0.2597
12 Pb 0.8317 0.1718 0.7403

***

Record 4
For LiZn5Cu3, DFT lattice parameters and positions (GGA-PBE) gives the calculated X-ray diffraction stick pattern in this record (CuKα).

Principal peaks in the range 5 to 70 degrees two-theta, low angle first:
2θ (°), d_spacing, intensity
13.72, 6.454, 21
23.88, 3.726, 5
35.14, 2.554, 13
41.00, 2.201, 5
41.99, 2.151, 100
42.93, 2.107, 77
55.88, 1.645, 18
61.62, 1.505, 24

Structural model:
Cell: 7.4528 7.4528 5.1074 Å, 90.00 90.00 120.00°
Fractional positions:
1 Li 0.0000 0.0000 0.0000
2 Li 0.0000 0.0000 0.5000
3 Zn 0.0000 0.3169 0.2500
4 Zn 0.0000 0.6831 0.7500
5 Zn 0.3169 0.0000 0.2500
6 Zn 0.3169 0.3169 0.7500
7 Zn 0.3333 0.6667 0.0000
8 Zn 0.3333 0.6667 0.5000
9 Zn 0.6667 0.3333 0.0000
10 Zn 0.6667 0.3333 0.5000
11 Zn 0.6831 0.0000 0.7500
12 Zn 0.6831 0.6831 0.2500
13 Cu 0.0000 0.3486 0.7500
14 Cu 0.0000 0.6514 0.2500
15 Cu 0.3486 0.0000 0.7500
16 Cu 0.3486 0.3486 0.2500
17 Cu 0.6514 0.0000 0.2500
18 Cu 0.6514 0.6514 0.7500

***

Record 5
For Na5Bi2Pt, DFT lattice parameters and positions (GGA-PBE) gives the calculated X-ray diffraction stick pattern in this record (CuKα).

Principal peaks in the range 5 to 70 degrees two-theta, low angle first:
2θ (°), d_spacing, intensity
19.34, 4.590, 33
19.86, 4.470, 100
33.82, 2.650, 54
37.58, 2.393, 40
39.53, 2.280, 18
50.70, 1.801, 18
51.44, 1.776, 17
63.00, 1.476, 18

Structural model:
Cell: 5.3006 5.3006 19.6341 Å, 90.00 90.00 120.00°
Fractional positions:
1 Na 0.0000 0.0000 0.1647
2 Na 0.0000 0.0000 0.3353
3 Na 0.0000 0.0000 0.6647
4 Na 0.0000 0.0000 0.8353
5 Na 0.3333 0.6667 0.0528
6 Na 0.3333 0.6667 0.2500
7 Na 0.3333 0.6667 0.4472
8 Na 0.6667 0.3333 0.5528
9 Na 0.6667 0.3333 0.7500
10 Na 0.6667 0.3333 0.9472
11 Bi 0.3333 0.6667 0.6149
12 Bi 0.3333 0.6667 0.8851
13 Bi 0.6667 0.3333 0.1149
14 Bi 0.6667 0.3333 0.3851
15 Pt 0.3333 0.6667 0.7500
16 Pt 0.6667 0.3333 0.2500

***

Record 6
For GaSeCl, DFT lattice parameters and positions (GGA-PBE) gives the calculated X-ray diffraction stick pattern in this record (CuKα).

Principal peaks in the range 5 to 70 degrees two-theta, low angle first:
2θ (°), d_spacing, intensity
10.91, 8.109, 100
22.81, 3.899, 28
27.11, 3.290, 25
28.62, 3.119, 70
31.84, 2.811, 18
43.19, 2.095, 31
48.62, 1.873, 13
48.95, 1.861, 27

Structural model:
Cell: 5.6275 16.2181 3.8514 Å, 90.00 90.00 90.00°
Fractional positions:
1 Ga 0.0475 0.1931 0.0000
2 Ga 0.4525 0.6931 0.5000
3 Ga 0.5475 0.3069 0.5000
4 Ga 0.9525 0.8069 0.0000
5 Se 0.2267 0.8230 0.5000
6 Se 0.2733 0.3230 0.0000
7 Se 0.7267 0.6770 0.0000
8 Se 0.7733 0.1770 0.5000
9 Cl 0.2272 0.5847 0.5000
10 Cl 0.2728 0.0847 0.0000
11 Cl 0.7272 0.9153 0.0000
12 Cl 0.7728 0.4153 0.5000